# TlBPb2
Theoretical powder diffraction line list, Cu Ka. Input: a crystal structure in Alexandria, relaxed with GGA-PBE.
Peak positions follow from Bragg's law for the DFT cell and can differ from measured ones.

Crystal structure
Lattice parameters (Å, degrees): 7.231 7.231 7.231 125.67 125.67 80.43
Atoms (fractional coordinates):
Tl 0.000 0.000 0.000
Tl 0.750 0.250 0.500
B 0.250 0.750 0.500
B 0.500 0.500 0.000
Pb 0.218 0.625 0.093
Pb 0.375 0.468 0.593
Pb 0.532 0.125 0.907
Pb 0.875 0.782 0.407

Most intense lines, 2θ from 10° to 90°, in order of rising 2θ:
3.565 Å, 2θ = 24.98°, rel. 100
3.215 Å, 2θ = 27.75°, rel. 30
2.852 Å, 2θ = 31.36°, rel. 69
2.334 Å, 2θ = 38.57°, rel. 14
2.303 Å, 2θ = 39.11°, rel. 14
2.158 Å, 2θ = 41.85°, rel. 19
2.118 Å, 2θ = 42.69°, rel. 38
1.953 Å, 2θ = 46.50°, rel. 15
1.712 Å, 2θ = 53.51°, rel. 13
1.640 Å, 2θ = 56.10°, rel. 21
1.410 Å, 2θ = 66.30°, rel. 13
1.311 Å, 2θ = 72.03°, rel. 10